Computed powder XRD pattern of CePu4Ga3 for Cu Kα (weighted mean of Kα1 and Kα2), from a DFT-relaxed cell (PBE, Alexandria).
No peak broadening, texture or thermal motion is included.

Largest 10 diffraction maxima, in order of rising 2θ, 2θ from 10° to 80°:
h k l, d (Å), two_theta, I/Imax
0 0 2, 4.760, 18.64, 70
2 0 -1, 3.114, 28.67, 27
0 1 0, 3.009, 29.69, 58
2 0 1, 2.656, 33.75, 82
2 0 -3, 2.558, 35.08, 87
0 1 2, 2.544, 35.29, 100
0 0 4, 2.380, 37.80, 59
2 1 -1, 2.164, 41.74, 64
2 1 1, 1.991, 45.55, 30
2 1 -3, 1.949, 46.60, 36

Structure:
Cell: 6.2328 3.0091 9.9031 Å, 90.00 105.98 90.00°
Space group P2/m (No. 10)
Asymmetric unit:
Ce 0.0000 0.0000 0.0000 [1 per cell]
Pu 0.1190 0.0000 0.7466 [2 per cell]
Pu 0.4114 0.0000 0.2783 [2 per cell]
Ga 0.2230 0.5000 0.4970 [2 per cell]
Ga 0.5000 0.5000 0.0000 [1 per cell]

Computed powder XRD pattern of DyHo7Er12 for Cu Kα (weighted mean of Kα1 and Kα2), from a DFT-relaxed cell (PBE, Alexandria).
No peak broadening, texture or thermal motion is included.

Largest 10 diffraction maxima, in order of rising 2θ, 2θ from 10° to 80°:
h k l, d (Å), two_theta, I/Imax
3 0 0, 3.659, 24.32, 14
1 0 4, 3.220, 27.71, 20
4 -3 1, 2.966, 30.14, 62
0 2 4, 2.870, 31.17, 43
3 1 2, 2.771, 32.31, 100
3 -2 5, 2.258, 39.93, 32
4 1 3, 2.111, 42.84, 24
2 5 0, 1.755, 52.11, 14
7 -5 3, 1.635, 56.25, 18
3 3 6, 1.537, 60.19, 14

Structure:
Cell: 12.6571 12.6571 13.4729 Å, 90.00 90.00 120.00°
Space group R-3 (No. 148, hexagonal axes)
Asymmetric unit:
Dy 0.0000 0.0000 0.0000 [3 per cell]
Ho 0.0000 0.0000 0.5000 [3 per cell]
Ho 0.0686 0.8684 0.8473 [18 per cell]
Er 0.0004 0.4363 0.2501 [18 per cell]
Er 0.0686 0.2004 0.3484 [18 per cell]

Computed powder XRD pattern of Sr2YCu2AgO7 for Cu Kα (weighted mean of Kα1 and Kα2), from a DFT-relaxed cell (PBE, Alexandria).
No peak broadening, texture or thermal motion is included.

Largest 10 diffraction maxima, in order of rising 2θ, 2θ from 10° to 80°:
h k l, d (Å), two_theta, I/Imax
6 1 1, 2.766, 32.36, 100
0 2 0, 2.682, 33.41, 60
10 0 0, 2.426, 37.06, 8
8 1 1, 2.368, 37.99, 8
12 0 0, 2.022, 44.83, 9
0 2 2, 1.896, 47.97, 33
12 2 0, 1.614, 57.05, 19
6 1 3, 1.564, 59.06, 35
12 2 2, 1.383, 67.75, 10
0 4 0, 1.341, 70.19, 9

Structure:
Cell: 24.2594 5.3610 5.3668 Å, 90.00 90.00 90.00°
Space group Ima2 (No. 46)
Asymmetric unit:
Sr 0.1522 0.9996 0.0000 [8 per cell]
Y 0.0000 0.0000 0.0017 [4 per cell]
Cu 0.0743 0.0001 0.5012 [8 per cell]
Ag 0.2500 0.0086 0.5106 [4 per cell]
O 0.0598 0.2502 0.2515 [8 per cell]
O 0.0600 0.7499 0.2515 [8 per cell]
O 0.1631 0.0015 0.5002 [8 per cell]
O 0.2500 0.0136 0.9519 [4 per cell]

Computed powder XRD pattern of FeRu4Rh6 for Cu Kα (weighted mean of Kα1 and Kα2), from a DFT-relaxed cell (PBE, Alexandria).
No peak broadening, texture or thermal motion is included.

Largest 10 diffraction maxima, in order of rising 2θ, 2θ from 10° to 80°:
h k l, d (Å), two_theta, I/Imax
1 0 1, 5.237, 16.93, 29
1 1 2, 3.163, 28.21, 50
2 1 1, 2.792, 32.06, 49
2 2 0, 2.333, 38.58, 20
3 0 1, 2.131, 42.41, 34
3 1 0, 2.087, 43.35, 49
2 1 3, 2.057, 44.02, 100
2 2 2, 2.051, 44.15, 20
1 1 4, 1.954, 46.49, 20
4 1 3, 1.397, 66.97, 25

Structure:
Cell: 6.6001 6.6001 8.6042 Å, 90.00 90.00 90.00°
Space group I-42m (No. 121)
Asymmetric unit:
Fe 0.0000 0.0000 0.0000 [2 per cell]
Ru 0.1760 0.1760 0.4368 [8 per cell]
Rh 0.0000 0.5000 0.0000 [4 per cell]
Rh 0.1431 0.1431 0.7374 [8 per cell]

Computed powder XRD pattern of Tb2Ho5Ag for Cu Kα (weighted mean of Kα1 and Kα2), from a DFT-relaxed cell (PBE, Alexandria).
No peak broadening, texture or thermal motion is included.

Largest 10 diffraction maxima, in order of rising 2θ, 2θ from 10° to 80°:
h k l, d (Å), two_theta, I/Imax
1 3 -1, 2.904, 30.79, 23
2 2 0, 2.828, 31.64, 100
0 0 2, 2.575, 34.84, 23
4 0 -2, 2.392, 37.60, 27
1 3 1, 2.270, 39.71, 12
4 0 0, 1.753, 52.19, 20
3 5 -1, 1.621, 56.80, 10
2 2 2, 1.531, 60.47, 14
5 3 -1, 1.481, 62.75, 7
6 2 -2, 1.452, 64.15, 12

Structure:
Cell: 9.5640 9.5755 7.0277 Å, 90.00 132.88 90.00°
Space group Cm (No. 8)
Asymmetric unit:
Tb 0.0000 0.0000 0.0000 [2 per cell]
Tb 0.0982 0.5000 0.9982 [2 per cell]
Ho 0.0635 0.0000 0.5280 [2 per cell]
Ho 0.3139 0.2505 0.5290 [4 per cell]
Ho 0.3279 0.2003 0.0569 [4 per cell]
Ag 0.0616 0.5000 0.5239 [2 per cell]

Computed powder XRD pattern of Li6OsN4 for Cu Kα (weighted mean of Kα1 and Kα2), from a DFT-relaxed cell (PBE, Alexandria).
No peak broadening, texture or thermal motion is included.

Largest 10 diffraction maxima, in order of rising 2θ, 2θ from 10° to 80°:
h k l, d (Å), two_theta, I/Imax
1 1 0, 4.775, 18.58, 64
1 0 1, 3.924, 22.66, 100
2 0 0, 3.377, 26.39, 29
2 1 1, 2.559, 35.06, 55
1 1 2, 2.152, 41.99, 18
3 1 0, 2.136, 42.32, 16
3 0 1, 2.040, 44.41, 20
3 2 1, 1.746, 52.41, 15
3 1 2, 1.598, 57.67, 14
4 1 1, 1.551, 59.62, 14

Structure:
Cell: 6.7533 6.7533 4.8211 Å, 90.00 90.00 90.00°
Space group P4_2/nmc (No. 137, origin choice 2)
Asymmetric unit:
Li 0.0395 0.5395 0.2500 [8 per cell]
Li 0.2500 0.2500 0.1384 [4 per cell]
Os 0.2500 0.7500 0.7500 [2 per cell]
N 0.0014 0.2500 0.4214 [8 per cell]

Computed powder XRD pattern of Cu2SiIr for Cu Kα (weighted mean of Kα1 and Kα2), from a DFT-relaxed cell (PBE, Alexandria).
No peak broadening, texture or thermal motion is included.

Largest 10 diffraction maxima, in order of rising 2θ, 2θ from 10° to 80°:
h k l, d (Å), two_theta, I/Imax
0 0 2, 4.990, 17.77, 30
1 0 0, 3.727, 23.87, 37
1 0 2, 2.986, 29.92, 37
0 0 4, 2.495, 36.00, 23
1 1 1, 2.175, 41.52, 100
0 1 3, 2.133, 42.37, 51
1 0 4, 2.073, 43.66, 63
2 0 0, 1.864, 48.87, 27
1 1 3, 1.851, 49.21, 23
2 1 3, 1.403, 66.64, 26

Structure:
Cell: 3.7274 2.7798 9.9801 Å, 90.00 90.00 90.00°
Space group Amm2 (No. 38)
Asymmetric unit:
Cu 0.0000 0.0000 0.0000 [2 per cell]
Cu 0.5000 0.0000 0.4029 [2 per cell]
Si 0.0000 0.0000 0.2522 [2 per cell]
Ir 0.5000 0.0000 0.6654 [2 per cell]

Computed powder XRD pattern of Tc2AgOs for Cu Kα (weighted mean of Kα1 and Kα2), from a DFT-relaxed cell (PBE, Alexandria).
No peak broadening, texture or thermal motion is included.

Largest 10 diffraction maxima, in order of rising 2θ, 2θ from 10° to 80°:
h k l, d (Å), two_theta, I/Imax
0 0 6, 4.658, 19.05, 4
0 0 9, 3.105, 28.75, 6
1 0 1, 2.375, 37.89, 4
0 0 12, 2.329, 38.66, 33
1 0 4, 2.256, 39.97, 100
0 1 5, 2.192, 41.17, 4
0 1 8, 1.969, 46.10, 64
1 0 16, 1.409, 66.35, 18
1 1 0, 1.376, 68.15, 20
0 1 20, 1.205, 79.51, 10

Structure:
Cell: 2.7521 2.7521 27.9481 Å, 90.00 90.00 120.00°
Space group R3m (No. 160, hexagonal axes)
Asymmetric unit:
Tc 0.0000 0.0000 0.0000 [3 per cell]
Tc 0.0000 0.0000 0.2561 [3 per cell]
Ag 0.0000 0.0000 0.7558 [3 per cell]
Os 0.0000 0.0000 0.5117 [3 per cell]

Computed powder XRD pattern of MgPdAu4 for Cu Kα (weighted mean of Kα1 and Kα2), from a DFT-relaxed cell (PBE, Alexandria).
No peak broadening, texture or thermal motion is included.

Largest 10 diffraction maxima, in order of rising 2θ, 2θ from 10° to 80°:
h k l, d (Å), two_theta, I/Imax
1 0 -1, 4.030, 22.06, 8
1 1 0, 3.588, 24.82, 17
0 1 3, 2.425, 37.07, 6
2 0 0, 2.327, 38.70, 100
0 2 2, 2.309, 39.01, 100
2 2 -2, 1.639, 56.12, 35
0 4 0, 1.409, 66.36, 7
3 0 3, 1.343, 70.04, 18
1 2 -5, 1.340, 70.25, 36
2 4 0, 1.205, 79.55, 25

Structure:
Cell: 4.6531 5.6346 8.0609 Å, 90.00 90.06 90.00°
Space group P2_1/m (No. 11)
Asymmetric unit:
Mg 0.2485 0.2500 0.0904 [2 per cell]
Pd 0.2498 0.2500 0.4125 [2 per cell]
Au 0.2498 0.5016 0.7502 [4 per cell]
Au 0.2501 0.7500 0.4156 [2 per cell]
Au 0.2516 0.7500 0.0773 [2 per cell]